BaNi2As2: simulated PXRD pattern (Cu Kα X-rays), based on the PBE geometry in the Materials Project.
Kinematic intensities with the Lorentz-polarization factor, no thermal factor.

The 10 most intense peaks (2θ from 5° to 70°), sorted by position:
d (Å)  I (rel.)
5.885  6
2.940  24
2.853  100
2.629  43
2.078  50
2.048  6
1.698  5
1.680  41
1.632  36
1.470  17

Structure:
Cell lengths 6.578, 6.578, 6.578 Å; angles 143.16, 143.16, 53.08 degrees
Sites, in units of the cell vectors:
Ba (0.000, 0.000, 0.000)
Ni (0.250, 0.750, 0.500)
Ni (0.750, 0.250, 0.500)
As (0.346, 0.346, 0.000)
As (0.654, 0.654, 0.000)

---

Li2SiS3: simulated PXRD pattern (Cu Kα X-rays), based on the PBE geometry in the Materials Project.
Kinematic intensities with the Lorentz-polarization factor, no thermal factor.

The 10 most intense peaks (2θ from 5° to 70°), sorted by position:
d (Å)  I (rel.)
5.842  53
4.208  86
3.411  53
3.382  88
3.007  93
2.967  44
2.948  100
1.964  58
1.724  43
1.644  41

Structure:
Cell lengths 6.764, 6.764, 6.014 Å; angles 90.00, 90.00, 60.55 degrees
Sites, in units of the cell vectors:
Li (0.009, 0.324, 0.000)
Li (0.324, 0.009, 0.500)
Li (0.676, 0.991, 0.000)
Li (0.991, 0.676, 0.500)
Si (0.334, 0.666, 0.986)
Si (0.666, 0.334, 0.486)
S (0.038, 0.660, 0.900)
S (0.340, 0.962, 0.900)
S (0.364, 0.636, 0.357)
S (0.636, 0.364, 0.857)
S (0.660, 0.038, 0.400)
S (0.962, 0.340, 0.400)

---

RbSb3Se5: simulated PXRD pattern (Cu Kα X-rays), based on the PBE geometry in the Materials Project.
Kinematic intensities with the Lorentz-polarization factor, no thermal factor.

The 10 most intense peaks (2θ from 5° to 70°), sorted by position:
d (Å)  I (rel.)
10.818  76
8.320  33
4.766  27
3.390  27
2.912  99
2.888  100
2.818  56
2.063  51
2.047  29
2.025  49

Structure:
Cell lengths 22.546, 4.126, 12.330 Å; angles 90.00, 90.00, 90.00 degrees
Sites, in units of the cell vectors:
Rb (0.090, 0.250, 0.151)
Rb (0.410, 0.750, 0.651)
Rb (0.590, 0.250, 0.349)
Rb (0.910, 0.750, 0.849)
Sb (0.061, 0.750, 0.609)
Sb (0.168, 0.250, 0.806)
Sb (0.194, 0.250, 0.450)
Sb (0.306, 0.750, 0.950)
Sb (0.332, 0.750, 0.306)
Sb (0.439, 0.250, 0.109)
Sb (0.561, 0.750, 0.891)
Sb (0.668, 0.250, 0.694)
Sb (0.694, 0.250, 0.050)
Sb (0.806, 0.750, 0.550)
Sb (0.832, 0.750, 0.194)
Sb (0.939, 0.250, 0.391)
Se (0.045, 0.250, 0.775)
Se (0.071, 0.250, 0.444)
Se (0.172, 0.750, 0.961)
Se (0.183, 0.750, 0.632)
Se (0.199, 0.750, 0.298)
Se (0.301, 0.250, 0.798)
Se (0.317, 0.250, 0.132)
Se (0.328, 0.250, 0.461)
Se (0.429, 0.750, 0.944)
Se (0.455, 0.750, 0.275)
Se (0.545, 0.250, 0.725)
Se (0.571, 0.250, 0.056)
Se (0.672, 0.750, 0.539)
Se (0.683, 0.750, 0.868)
Se (0.699, 0.750, 0.202)
Se (0.801, 0.250, 0.702)
Se (0.817, 0.250, 0.368)
Se (0.828, 0.250, 0.039)
Se (0.929, 0.750, 0.556)
Se (0.955, 0.750, 0.225)

---

MgVCr3S8: simulated PXRD pattern (Cu Kα X-rays), based on the PBE geometry in the Materials Project.
Kinematic intensities with the Lorentz-polarization factor, no thermal factor.

The 10 most intense peaks (2θ from 5° to 70°), sorted by position:
d (Å)  I (rel.)
5.779  61
5.641  22
3.025  14
3.004  21
2.965  12
2.487  100
1.916  15
1.775  40
1.743  34
1.445  14

Structure:
Cell lengths 6.973, 6.973, 6.973 Å; angles 61.20, 61.20, 61.20 degrees
Sites, in units of the cell vectors:
Mg (0.000, 0.000, 0.000)
V (0.600, 0.600, 0.600)
Cr (0.136, 0.617, 0.617)
Cr (0.617, 0.136, 0.617)
Cr (0.617, 0.617, 0.136)
S (0.376, 0.376, 0.861)
S (0.376, 0.861, 0.376)
S (0.379, 0.379, 0.379)
S (0.417, 0.855, 0.855)
S (0.855, 0.417, 0.855)
S (0.855, 0.855, 0.417)
S (0.860, 0.860, 0.860)
S (0.861, 0.376, 0.376)